# 1
For NiPd, a DFT-relaxed cell (PBE, the Materials Project) gives the calculated X-ray diffraction stick pattern in this record (Cu Ka).
Kinematic intensities with the Lorentz-polarization factor, no thermal factor.

Cell and atoms:
```
data_NiPd
_cell_length_a 2.6975
_cell_length_b 2.6975
_cell_length_c 12.7770
_cell_angle_alpha 90.00
_cell_angle_beta 90.00
_cell_angle_gamma 120.00
_space_group_name_H-M_alt 'R -3 m'
_space_group_IT_number 166
_space_group_name_Hall '-R 3 2"'
loop_
_atom_site_label
_atom_site_type_symbol
_atom_site_fract_x
_atom_site_fract_y
_atom_site_fract_z
Ni1 Ni 0.0000 0.0000 0.0000
Pd1 Pd 0.0000 0.0000 0.5000
```

Most intense lines, 5 to 70 degrees two-theta, sorted by position:
| two_theta | d [Å] | I/Imax |
| --- | --- | --- |
| 20.86 | 4.259 | 12.2 |
| 39.20 | 2.298 | 7.1 |
| 41.14 | 2.194 | 100.0 |
| 42.45 | 2.129 | 30.4 |
| 48.26 | 1.886 | 62.1 |
| 53.12 | 1.724 | 3.1 |
| 64.82 | 1.438 | 1.7 |
| 65.78 | 1.420 | 0.6 |
| 69.72 | 1.349 | 19.6 |

# 2
For KMnBr3, a DFT-relaxed cell (PBE, the Materials Project) gives the calculated X-ray diffraction stick pattern in this record (Cu Ka).
Kinematic intensities with the Lorentz-polarization factor, no thermal factor.

Cell and atoms:
```
data_KMnBr3
_cell_length_a 9.462
_cell_length_b 4.099
_cell_length_c 15.448
_cell_angle_alpha 90.00
_cell_angle_beta 90.00
_cell_angle_gamma 90.00
_space_group_name_H-M_alt 'P n m a'
_space_group_IT_number 62
loop_
_space_group_symop_operation_xyz
'x,y,z'
'-x,-y,-z'
'-x+1/2,-y,z+1/2'
'x+1/2,y,-z+1/2'
'x+1/2,-y+1/2,-z+1/2'
'-x+1/2,y+1/2,z+1/2'
'-x,y+1/2,-z'
'x,-y+1/2,z'
loop_
_atom_site_label
_atom_site_type_symbol
_atom_site_fract_x
_atom_site_fract_y
_atom_site_fract_z
K1 K 0.069 0.250 0.177
Mn1 Mn 0.165 0.750 0.446
Br1 Br 0.019 0.750 0.600
Br2 Br 0.174 0.750 0.008
Br3 Br 0.217 0.250 0.796
```

Most intense lines, 5 to 70 degrees two-theta, sorted by position:
| two_theta | d [Å] | I/Imax |
| --- | --- | --- |
| 10.96 | 8.069 | 14.7 |
| 11.46 | 7.724 | 19.2 |
| 28.87 | 3.093 | 19.5 |
| 29.41 | 3.037 | 100.0 |
| 29.86 | 2.992 | 28.6 |
| 30.43 | 2.937 | 31.5 |
| 31.10 | 2.875 | 53.9 |
| 43.11 | 2.099 | 16.2 |
| 44.19 | 2.049 | 24.8 |
| 47.78 | 1.904 | 31.3 |

# 3
For Na2InAgF6, a DFT-relaxed cell (PBE, the Materials Project) gives the calculated X-ray diffraction stick pattern in this record (Cu Ka).
Kinematic intensities with the Lorentz-polarization factor, no thermal factor.

Cell and atoms:
```
data_Na2InAgF6
_cell_length_a 8.933
_cell_length_b 8.933
_cell_length_c 8.933
_cell_angle_alpha 90.00
_cell_angle_beta 90.00
_cell_angle_gamma 90.00
_space_group_name_H-M_alt 'F m -3 m'
_space_group_IT_number 225
_space_group_name_Hall '-F 4 2 3'
loop_
_atom_site_label
_atom_site_type_symbol
_atom_site_fract_x
_atom_site_fract_y
_atom_site_fract_z
Na1 Na 0.250 0.250 0.250
In1 In 0.000 0.000 0.000
Ag1 Ag 0.000 0.000 0.500
F1 F 0.000 0.000 0.234
```

Most intense lines, 5 to 70 degrees two-theta, sorted by position:
| two_theta | d [Å] | I/Imax |
| --- | --- | --- |
| 19.88 | 4.466 | 100.0 |
| 28.26 | 3.158 | 97.5 |
| 34.79 | 2.579 | 2.6 |
| 40.39 | 2.233 | 48.9 |
| 45.41 | 1.997 | 42.3 |
| 50.02 | 1.823 | 38.8 |
| 58.44 | 1.579 | 28.9 |
| 62.37 | 1.489 | 19.2 |
| 66.16 | 1.412 | 17.5 |
| 69.84 | 1.347 | 2.2 |

# 4
For In7Pd3, a DFT-relaxed cell (PBE, the Materials Project) gives the calculated X-ray diffraction stick pattern in this record (Cu Ka).
Kinematic intensities with the Lorentz-polarization factor, no thermal factor.

Cell and atoms:
```
data_In7Pd3
_cell_length_a 9.621
_cell_length_b 9.621
_cell_length_c 9.621
_cell_angle_alpha 90.00
_cell_angle_beta 90.00
_cell_angle_gamma 90.00
_space_group_name_H-M_alt 'I m -3 m'
_space_group_IT_number 229
_space_group_name_Hall '-I 4 2 3'
loop_
_atom_site_label
_atom_site_type_symbol
_atom_site_fract_x
_atom_site_fract_y
_atom_site_fract_z
In1 In 0.000 0.250 0.500
In2 In 0.163 0.163 0.163
Pd1 Pd 0.000 0.000 0.347
```

Most intense lines, 5 to 70 degrees two-theta, sorted by position:
| two_theta | d [Å] | I/Imax |
| --- | --- | --- |
| 22.64 | 3.928 | 12.3 |
| 29.36 | 3.042 | 26.3 |
| 32.23 | 2.777 | 39.9 |
| 34.89 | 2.571 | 41.1 |
| 39.75 | 2.268 | 100.0 |
| 42.00 | 2.151 | 11.8 |
| 46.23 | 1.964 | 18.4 |
| 57.47 | 1.603 | 19.3 |
| 59.20 | 1.561 | 14.0 |
| 62.57 | 1.485 | 14.2 |

# 5
For Cd2GaAgSe4, a DFT-relaxed cell (PBE, the Materials Project) gives the calculated X-ray diffraction stick pattern in this record (Cu Ka).
Kinematic intensities with the Lorentz-polarization factor, no thermal factor.

Cell and atoms:
```
data_Cd2GaAgSe4
_cell_length_a 15.723
_cell_length_b 4.248
_cell_length_c 7.510
_cell_angle_alpha 90.00
_cell_angle_beta 116.71
_cell_angle_gamma 90.00
_space_group_name_H-M_alt 'C 1 m 1'
_space_group_IT_number 8
loop_
_space_group_symop_operation_xyz
'x,y,z'
'x,-y,z'
'x+1/2,y+1/2,z'
'x+1/2,-y+1/2,z'
loop_
_atom_site_label
_atom_site_type_symbol
_atom_site_fract_x
_atom_site_fract_y
_atom_site_fract_z
Cd1 Cd 0.000 0.000 0.000
Cd2 Cd 0.004 0.500 0.522
Ga1 Ga 0.249 0.000 0.943
Ag1 Ag 0.248 0.500 0.423
Se1 Se 0.189 0.000 0.189
Se2 Se 0.200 0.500 0.727
Se3 Se 0.428 0.000 0.113
Se4 Se 0.436 0.500 0.614
```

Most intense lines, 5 to 70 degrees two-theta, sorted by position:
| two_theta | d [Å] | I/Imax |
| --- | --- | --- |
| 23.71 | 3.753 | 44.3 |
| 24.07 | 3.697 | 100.0 |
| 25.37 | 3.511 | 83.5 |
| 27.44 | 3.251 | 36.2 |
| 35.54 | 2.526 | 32.0 |
| 41.90 | 2.156 | 82.4 |
| 42.56 | 2.124 | 40.7 |
| 45.54 | 1.992 | 45.0 |
| 46.22 | 1.964 | 34.3 |
| 50.23 | 1.816 | 48.4 |